[1]
The following is a theoretical X-ray powder pattern of BPIrAu. It was derived from a DFT-relaxed cell (PBE, Alexandria), using Cu Kα (λ = 1.5418 Å).
No peak broadening, texture or thermal motion is included.

Structural model:
a b c (Å): 10.473 2.838 4.593
angles (deg): 90.00 93.42 90.00
Space group Cm (No. 8)
One atom of each set of equivalent atoms:
1 B 0.000 0.000 0.000 [2 per cell]
2 P 0.103 0.000 0.663 [2 per cell]
3 Ir 0.489 0.000 0.338 [2 per cell]
4 Au 0.319 0.000 0.864 [2 per cell]

The 12 most intense peaks (2θ = 10–80°), sorted by position:
2θ = 16.96°, rel. 48.7, hkl 2 0 0
2θ = 25.06°, rel. 100.0, hkl 2 0 -1
2θ = 26.62°, rel. 51.5, hkl 2 0 1
2θ = 32.70°, rel. 76.6, hkl 1 1 0
2θ = 38.01°, rel. 29.8, hkl 1 1 -1
2θ = 38.60°, rel. 38.2, hkl 4 0 -1
2θ = 39.30°, rel. 29.7, hkl 0 0 2
2θ = 40.75°, rel. 27.6, hkl 4 0 1
2θ = 45.02°, rel. 41.3, hkl 3 1 -1
2θ = 46.44°, rel. 47.8, hkl 3 1 1
2θ = 52.48°, rel. 40.2, hkl 6 0 0
2θ = 54.52°, rel. 24.6, hkl 5 1 0

=====

[2]
The following is a theoretical X-ray powder pattern of KB3Au. It was derived from a DFT-relaxed cell (PBE, Alexandria), using Cu Kα (λ = 1.5418 Å).
No peak broadening, texture or thermal motion is included.

Structural model:
a b c (Å): 4.394 4.394 4.394
angles (deg): 90.00 90.00 90.00
Space group Pm-3m (No. 221)
One atom of each set of equivalent atoms:
1 K 0.000 0.000 0.000 [1 per cell]
2 B 0.000 0.500 0.500 [3 per cell]
3 Au 0.500 0.500 0.500 [1 per cell]

The 12 most intense peaks (2θ = 10–80°), sorted by position:
2θ = 20.21°, rel. 58.8, hkl 1 0 0
2θ = 28.73°, rel. 100.0, hkl 1 1 0
2θ = 35.38°, rel. 13.1, hkl 1 1 1
2θ = 41.08°, rel. 24.6, hkl 2 0 0
2θ = 46.20°, rel. 29.3, hkl 2 1 0
2θ = 50.90°, rel. 41.4, hkl 2 1 1
2θ = 59.50°, rel. 16.0, hkl 2 2 0
2θ = 63.52°, rel. 14.6, hkl 3 0 0
2θ = 67.39°, rel. 17.8, hkl 3 1 0
2θ = 71.17°, rel. 6.2, hkl 3 1 1
2θ = 74.85°, rel. 5.5, hkl 2 2 2
2θ = 78.48°, rel. 6.7, hkl 3 2 0